TlGa2AuCl8: simulated powder XRD pattern (a wavelength of 1.5418 Å), based on DFT lattice parameters and positions (PBE).

Crystal structure
abc: 7.5227 7.5227 8.3583
angles: 109.60 109.60 55.33
Fractional positions:
Tl (0.0000, 0.0000, 0.0000)
Ga (0.1957, 0.1957, 0.6716)
Ga (0.8043, 0.8043, 0.3284)
Au (0.5000, 0.5000, 0.5000)
Cl (0.1361, 0.6379, 0.2604)
Cl (0.1748, 0.1748, 0.4002)
Cl (0.3621, 0.8639, 0.7396)
Cl (0.3674, 0.3674, 0.8383)
Cl (0.6326, 0.6326, 0.1617)
Cl (0.6379, 0.1361, 0.2604)
Cl (0.8252, 0.8252, 0.5998)
Cl (0.8639, 0.3621, 0.7396)

Peak list (10 most intense, 10 to 80 degrees two-theta, sorted by position)
2θ/deg  d/Å  I/Imax
20.19  4.397  92
22.02  4.036  53
23.97  3.712  100
25.50  3.493  39
31.00  2.884  44
33.94  2.641  37
35.18  2.551  38
44.00  2.058  33
51.54  1.773  32
52.37  1.747  33